Starting from a structure optimized by DFT (PBE), the powder X-ray diffraction pattern of ErMn6Fe3 was calculated for Cu Kα, 1.54184 Å.
Kinematic intensities with the Lorentz-polarization factor, no thermal factor.

Cell and atoms:
a = 4.7488 Å, b = 4.8218 Å, c = 6.6172 Å
α = 87.43°, β = 72.48°, γ = 63.30°
Atoms (fractional coordinates):
Er (0.0000, 0.0000, 0.0000)
Mn (0.1097, 0.4535, 0.7308)
Mn (0.3374, 0.7990, 0.5344)
Mn (0.4649, 0.2359, 0.3951)
Mn (0.6119, 0.4749, 0.7700)
Mn (0.6332, 0.9744, 0.7362)
Mn (0.9324, 0.2300, 0.4191)
Fe (0.2902, 0.3505, 0.0769)
Fe (0.5890, 0.6890, 0.1460)
Fe (0.9490, 0.7120, 0.3835)

Top 10 peaks for 10° ≤ 2θ ≤ 90°, in order of rising 2θ:
37.28°, intensity 36
40.21°, intensity 33
41.68°, intensity 62
43.15°, intensity 100
43.26°, intensity 38
44.76°, intensity 38
45.21°, intensity 40
45.59°, intensity 31
46.01°, intensity 33
46.23°, intensity 54



Starting from a structure optimized by DFT (PBE), the powder X-ray diffraction pattern of Ti3Cr9Si4 was calculated for Cu Kα, 1.54184 Å.
Kinematic intensities with the Lorentz-polarization factor, no thermal factor.

Cell and atoms:
a = 4.6262 Å, b = 4.6355 Å, c = 9.2124 Å
α = 90.00°, β = 90.02°, γ = 90.00°
Atoms (fractional coordinates):
Ti (0.0000, 0.0000, 0.0000)
Ti (0.0054, 0.0000, 0.5055)
Ti (0.2539, 0.5000, 0.1291)
Cr (0.0014, 0.0000, 0.2556)
Cr (0.0061, 0.0000, 0.7517)
Cr (0.2599, 0.5000, 0.6287)
Cr (0.5041, 0.2522, 0.8739)
Cr (0.5041, 0.7478, 0.8739)
Cr (0.5047, 0.2524, 0.3814)
Cr (0.5047, 0.7476, 0.3814)
Cr (0.7498, 0.5000, 0.6286)
Cr (0.7519, 0.5000, 0.1288)
Si (0.0011, 0.5000, 0.3801)
Si (0.0026, 0.5000, 0.8722)
Si (0.5044, 0.0000, 0.6303)
Si (0.5067, 0.0000, 0.1312)

Top 10 peaks for 10° ≤ 2θ ≤ 90°, in order of rising 2θ:
27.28°, intensity 20
38.90°, intensity 28
39.11°, intensity 15
43.71°, intensity 100
43.79°, intensity 35
43.91°, intensity 66
48.18°, intensity 62
48.31°, intensity 27
70.58°, intensity 20
77.11°, intensity 20